No. 1
Theoretical powder diffractogram
Compound: LuMgCd2
Radiation: Cu Kα (weighted mean of Kα1 and Kα2)
Structure: a PBE-relaxed structure
No peak broadening, texture or thermal motion is included.

Most intense lines, 15 to 90 degrees two-theta, by intensity:
(2 2 0), 2θ 35.56, I 1000
(4 2 2), 2θ 63.86, I 351
(1 1 1), 2θ 21.55, I 275
(4 0 0), 2θ 51.17, I 174
(6 2 0), 2θ 86.12, I 155
(3 1 1), 2θ 41.96, I 150
(4 4 0), 2θ 75.28, I 108
(3 3 1), 2θ 56.14, I 65
(5 1 1), 2θ 68.25, I 49
(5 3 1), 2θ 79.39, I 49

Structure:
```
data_LuMgCd2
_space_group_name_H-M_alt 'F m -3 m'
_space_group_IT_number 225
_space_group_name_Hall '-F 4 2 3'
_cell_length_a 7.141
_cell_length_b 7.141
_cell_length_c 7.141
_cell_angle_alpha 90.00
_cell_angle_beta 90.00
_cell_angle_gamma 90.00
loop_
_atom_site_label
_atom_site_fract_x
_atom_site_fract_y
_atom_site_fract_z
Lu1 0.000 0.000 0.000
Mg1 0.000 0.000 0.500
Cd1 0.250 0.250 0.250
```



No. 2
Theoretical powder diffractogram
Compound: ZrAu3
Radiation: Cu Kα (weighted mean of Kα1 and Kα2)
Structure: a PBE-relaxed structure
No peak broadening, texture or thermal motion is included.

Most intense lines, 15 to 90 degrees two-theta, by intensity:
(1 2 1), 2θ 38.87, I 1000
(1 0 2), 2θ 40.69, I 483
(2 0 0), 2θ 36.74, I 402
(0 2 1), 2θ 34.08, I 268
(3 2 1), 2θ 67.59, I 199
(2 2 3), 2θ 75.80, I 198
(2 2 1), 2θ 50.98, I 174
(1 4 2), 2θ 74.74, I 164
(0 2 3), 2θ 63.64, I 162
(2 4 0), 2θ 72.17, I 114

Structure:
```
data_ZrAu3
_space_group_name_H-M_alt 'P m m n'
_space_group_IT_number 59
_cell_length_a 4.892
_cell_length_b 6.198
_cell_length_c 4.975
_cell_angle_alpha 90.00
_cell_angle_beta 90.00
_cell_angle_gamma 90.00
loop_
_space_group_symop_operation_xyz
'x,y,z'
'-x,-y,-z'
'-x+1/2,-y+1/2,z'
'x+1/2,y+1/2,-z'
'x+1/2,-y,-z'
'-x+1/2,y,z'
'-x,y+1/2,-z'
'x,-y+1/2,z'
loop_
_atom_site_label
_atom_site_fract_x
_atom_site_fract_y
_atom_site_fract_z
Zr1 0.250 0.250 0.161
Au1 0.250 0.503 0.664
Au2 0.250 0.750 0.159
```



No. 3
Theoretical powder diffractogram
Compound: U3O8
Radiation: Cu Kα (weighted mean of Kα1 and Kα2)
Structure: a PBE-relaxed structure
No peak broadening, texture or thermal motion is included.

Most intense lines, 15 to 90 degrees two-theta, by intensity:
(3 1 0), 2θ 26.29, I 1000
(0 0 2), 2θ 21.36, I 922
(3 1 2), 2θ 34.12, I 750
(0 2 0), 2θ 25.51, I 576
(0 2 2), 2θ 33.51, I 424
(3 1 4), 2θ 51.56, I 327
(3 3 2), 2θ 50.73, I 327
(3 3 0), 2θ 45.44, I 287
(3 3 4), 2θ 64.74, I 200
(0 0 4), 2θ 43.52, I 189

Structure:
```
data_U3O8
_space_group_name_H-M_alt 'C m c m'
_space_group_IT_number 63
_space_group_name_Hall '-C 2c 2'
_cell_length_a 11.632
_cell_length_b 6.984
_cell_length_c 8.318
_cell_angle_alpha 90.00
_cell_angle_beta 90.00
_cell_angle_gamma 90.00
loop_
_atom_site_label
_atom_site_fract_x
_atom_site_fract_y
_atom_site_fract_z
U1 0.000 0.011 0.250
U2 0.180 0.496 0.750
O1 0.000 0.000 0.000
O2 0.000 0.473 0.250
O3 0.139 0.186 0.750
O4 0.155 0.182 0.250
O5 0.182 0.500 0.000
```



No. 4
Theoretical powder diffractogram
Compound: CsUO3F3
Radiation: Cu Kα (weighted mean of Kα1 and Kα2)
Structure: a PBE-relaxed structure
No peak broadening, texture or thermal motion is included.

Most intense lines, 15 to 90 degrees two-theta, by intensity:
(1 2 0), 2θ 20.95, I 1000
(1 1 -1), 2θ 18.21, I 945
(1 0 2), 2θ 24.69, I 650
(0 2 2), 2θ 24.24, I 585
(0 1 3), 2θ 29.40, I 303
(0 2 1), 2θ 17.84, I 233
(2 5 0), 2θ 48.89, I 203
(1 1 -2), 2θ 24.05, I 186
(2 3 -1), 2θ 37.85, I 183
(1 3 1), 2θ 29.08, I 182

Structure:
```
data_CsUO3F3
_space_group_name_H-M_alt 'P 1 21/c 1'
_space_group_IT_number 14
_cell_length_a 6.178
_cell_length_b 11.695
_cell_length_c 9.469
_cell_angle_alpha 90.00
_cell_angle_beta 94.66
_cell_angle_gamma 90.00
loop_
_space_group_symop_operation_xyz
'x,y,z'
'-x,-y,-z'
'-x,y+1/2,-z+1/2'
'x,-y+1/2,z+1/2'
loop_
_atom_site_label
_atom_site_fract_x
_atom_site_fract_y
_atom_site_fract_z
Cs1 0.085 0.213 0.488
U1 0.393 0.539 0.305
O1 0.164 0.058 0.823
O2 0.366 0.126 0.217
O3 0.465 0.612 0.835
F1 0.182 0.687 0.291
F2 0.297 0.532 0.072
F3 0.406 0.591 0.545
```



No. 5
Theoretical powder diffractogram
Compound: MgCrGaS4
Radiation: Cu Kα (weighted mean of Kα1 and Kα2)
Structure: a PBE-relaxed structure
No peak broadening, texture or thermal motion is included.

Most intense lines, 15 to 90 degrees two-theta, by intensity:
(0 4 0), 2θ 50.12, I 1000
(0 1 3), 2θ 28.77, I 992
(2 2 0), 2θ 34.91, I 845
(0 0 4), 2θ 34.78, I 425
(2 3 1), 2θ 45.86, I 417
(0 4 4), 2θ 62.52, I 241
(0 1 5), 2θ 45.70, I 198
(4 0 0), 2θ 50.21, I 194
(2 6 0), 2θ 84.21, I 187
(0 5 3), 2θ 70.25, I 156

Structure:
```
data_MgCrGaS4
_space_group_name_H-M_alt 'I m m a'
_space_group_IT_number 74
_space_group_name_Hall '-I 2b 2'
_cell_length_a 7.268
_cell_length_b 7.270
_cell_length_c 10.318
_cell_angle_alpha 90.00
_cell_angle_beta 90.00
_cell_angle_gamma 90.00
loop_
_atom_site_label
_atom_site_fract_x
_atom_site_fract_y
_atom_site_fract_z
Mg1 0.000 0.250 0.126
Cr1 0.000 0.000 0.500
Ga1 0.250 0.250 0.750
S1 0.000 0.021 0.734
S2 0.222 0.250 0.510
```



No. 6
Theoretical powder diffractogram
Compound: NbCrN3
Radiation: Cu Kα (weighted mean of Kα1 and Kα2)
Structure: a PBE-relaxed structure
No peak broadening, texture or thermal motion is included.

Most intense lines, 15 to 90 degrees two-theta, by intensity:
(1 0 2), 2θ 32.05, I 1000
(1 1 0), 2θ 36.94, I 317
(2 1 2), 2θ 63.50, I 255
(1 1 4), 2θ 53.76, I 216
(2 0 0), 2θ 53.23, I 190
(0 0 2), 2θ 18.56, I 105
(1 0 5), 2θ 54.93, I 80
(1 0 6), 2θ 64.44, I 77
(0 0 3), 2θ 28.00, I 73
(1 1 3), 2θ 46.98, I 66

Structure:
```
data_NbCrN3
_space_group_name_H-M_alt 'P 4/n m m'
_space_group_IT_number 129
_cell_length_a 3.442
_cell_length_b 3.442
_cell_length_c 9.561
_cell_angle_alpha 90.00
_cell_angle_beta 90.00
_cell_angle_gamma 90.00
loop_
_space_group_symop_operation_xyz
'x,y,z'
'-x,-y,-z'
'-y+1/2,x,z'
'y+1/2,-x,-z'
'-x+1/2,-y+1/2,z'
'x+1/2,y+1/2,-z'
'y,-x+1/2,z'
'-y,x+1/2,-z'
'x+1/2,-y,-z'
'-x+1/2,y,z'
'-y,-x,-z'
'y,x,z'
'-x,y+1/2,-z'
'x,-y+1/2,z'
'y+1/2,x+1/2,-z'
'-y+1/2,-x+1/2,z'
loop_
_atom_site_label
_atom_site_fract_x
_atom_site_fract_y
_atom_site_fract_z
Nb1 0.250 0.250 0.121
Cr1 0.250 0.250 0.588
N1 0.250 0.250 0.770
N2 0.250 0.750 0.000
N3 0.250 0.750 0.500
```



No. 7
Theoretical powder diffractogram
Compound: ThGe2Au2
Radiation: Cu Kα (weighted mean of Kα1 and Kα2)
Structure: a PBE-relaxed structure
No peak broadening, texture or thermal motion is included.

Most intense lines, 15 to 90 degrees two-theta, by intensity:
(1 1 2), 2θ 33.14, I 1000
(2 0 0), 2θ 40.62, I 422
(1 0 3), 2θ 32.36, I 249
(3 1 2), 2θ 69.18, I 247
(1 1 6), 2θ 60.04, I 148
(2 0 4), 2θ 53.83, I 144
(2 2 0), 2θ 58.79, I 144
(0 0 4), 2θ 33.80, I 131
(2 1 3), 2θ 52.86, I 127
(1 0 5), 2θ 47.49, I 116

Structure:
```
data_ThGe2Au2
_space_group_name_H-M_alt 'I 4/m m m'
_space_group_IT_number 139
_space_group_name_Hall '-I 4 2'
_cell_length_a 4.443
_cell_length_b 4.443
_cell_length_c 10.609
_cell_angle_alpha 90.00
_cell_angle_beta 90.00
_cell_angle_gamma 90.00
loop_
_atom_site_label
_atom_site_fract_x
_atom_site_fract_y
_atom_site_fract_z
Th1 0.000 0.000 0.000
Ge1 0.000 0.000 0.385
Au1 0.000 0.500 0.250
```